This entry pairs a crystal structure of Dy3ErTm7 with its calculated X-ray diffraction stick pattern. Radiation: λ = 1.5418 Å (Cu Kα). Structure: a PBE-relaxed structure.
Peak positions follow from Bragg's law for the DFT cell and can differ from measured ones.

Atomic structure:
Cell lengths 6.837, 5.428, 9.811 Å; angles 90.00, 109.81, 90.00 degrees
Fractional positions:
Dy  0.000  0.000  0.000
Dy  0.278  0.500  0.497
Dy  0.722  0.500  0.503
Er  0.500  0.000  0.000
Tm  0.000  0.000  0.500
Tm  0.149  0.500  0.791
Tm  0.319  0.500  0.139
Tm  0.421  0.000  0.330
Tm  0.579  0.000  0.670
Tm  0.681  0.500  0.861
Tm  0.851  0.500  0.209

Principal peaks in the range 10 to 80 degrees two-theta, in order of rising 2θ:
| Position (°2θ) | intensity |
| --- | --- |
| 32.0 | 32 |
| 32.2 | 37 |
| 32.4 | 100 |
| 32.5 | 67 |
| 33.0 | 73 |
| 33.5 | 76 |